(1)
# LiGaC2S
Computed powder X-ray diffraction pattern, Cu Ka. Input: DFT lattice parameters and positions (PBE).
Intensities are scaled so that the largest is 100.

Crystal structure
```
data_LiGaC2S
_space_group_name_H-M_alt 'P 4/m m m'
_space_group_IT_number 123
_space_group_name_Hall '-P 4 2'
_cell_length_a 3.7909
_cell_length_b 3.7909
_cell_length_c 4.4127
_cell_angle_alpha 90.00
_cell_angle_beta 90.00
_cell_angle_gamma 90.00
loop_
_atom_site_label
_atom_site_type_symbol
_atom_site_fract_x
_atom_site_fract_y
_atom_site_fract_z
Li1 Li 0.0000 0.0000 0.0000
Ga1 Ga 0.5000 0.5000 0.0000
C1 C 0.0000 0.5000 0.5000
S1 S 0.0000 0.0000 0.5000
```

Peak list (10 most intense, 10° ≤ 2θ ≤ 80°, by angle)
- hkl 1 0 0, 23.47°, I 11
- hkl 1 0 1, 31.10°, I 100
- hkl 1 1 0, 33.43°, I 32
- hkl 1 1 1, 39.33°, I 22
- hkl 0 0 2, 40.90°, I 19
- hkl 2 0 0, 48.00°, I 23
- hkl 1 1 2, 53.81°, I 17
- hkl 2 1 1, 58.31°, I 30
- hkl 2 0 2, 64.85°, I 17
- hkl 1 0 3, 68.41°, I 9

(2)
# Tb2Sm7In2
Computed powder X-ray diffraction pattern, Cu Ka. Input: DFT lattice parameters and positions (PBE).
Intensities are scaled so that the largest is 100.

Crystal structure
```
data_Tb2Sm7In2
_space_group_name_H-M_alt 'I m m 2'
_space_group_IT_number 44
_space_group_name_Hall 'I 2 -2'
_cell_length_a 3.6784
_cell_length_b 17.5761
_cell_length_c 11.1992
_cell_angle_alpha 90.00
_cell_angle_beta 90.00
_cell_angle_gamma 90.00
loop_
_atom_site_label
_atom_site_type_symbol
_atom_site_fract_x
_atom_site_fract_y
_atom_site_fract_z
Tb1 Tb 0.0000 0.2231 0.0000
Sm1 Sm 0.0000 0.0000 0.9455
Sm2 Sm 0.0000 0.1052 0.5089
Sm3 Sm 0.0000 0.3238 0.2602
Sm4 Sm 0.0000 0.3493 0.7363
In1 In 0.0000 0.0000 0.2513
In2 In 0.0000 0.5000 0.2030
```

Peak list (10 most intense, 10° ≤ 2θ ≤ 80°, by angle)
- hkl 0 5 1, 26.58°, I 63
- hkl 1 1 2, 29.50°, I 100
- hkl 0 0 4, 31.97°, I 78
- hkl 1 4 1, 32.74°, I 95
- hkl 1 3 2, 32.90°, I 89
- hkl 0 6 2, 34.56°, I 65
- hkl 1 2 3, 35.76°, I 31
- hkl 1 4 3, 40.07°, I 31
- hkl 1 3 6, 57.56°, I 33
- hkl 1 9 4, 63.33°, I 31

(3)
# AgBiCl3
Computed powder X-ray diffraction pattern, Cu Ka. Input: DFT lattice parameters and positions (PBE).
Intensities are scaled so that the largest is 100.

Crystal structure
```
data_AgBiCl3
_space_group_name_H-M_alt 'P 1 21/c 1'
_space_group_IT_number 14
_space_group_name_Hall '-P 2ybc'
_cell_length_a 6.4696
_cell_length_b 7.6730
_cell_length_c 13.8741
_cell_angle_alpha 90.00
_cell_angle_beta 113.58
_cell_angle_gamma 90.00
loop_
_atom_site_label
_atom_site_type_symbol
_atom_site_fract_x
_atom_site_fract_y
_atom_site_fract_z
Ag1 Ag 0.2170 0.1589 0.4121
Bi1 Bi 0.2598 0.6288 0.2022
Cl1 Cl 0.0751 0.5540 0.7440
Cl2 Cl 0.3020 0.1623 0.6089
Cl3 Cl 0.4205 0.6915 0.5859
```

Peak list (10 most intense, 10° ≤ 2θ ≤ 80°, by angle)
- hkl 0 1 1, 13.48°, I 63
- hkl 0 0 2, 13.93°, I 52
- hkl 1 1 -1, 17.96°, I 40
- hkl 0 1 2, 18.12°, I 100
- hkl 1 1 -2, 19.64°, I 77
- hkl 0 2 1, 24.24°, I 73
- hkl 1 1 2, 26.96°, I 44
- hkl 2 0 0, 30.12°, I 58
- hkl 1 2 -3, 31.01°, I 44
- hkl 1 2 -5, 40.12°, I 68

(4)
# KLa4Te5
Computed powder X-ray diffraction pattern, Cu Ka. Input: DFT lattice parameters and positions (PBE).
Intensities are scaled so that the largest is 100.

Crystal structure
```
data_KLa4Te5
_space_group_name_H-M_alt 'I m m m'
_space_group_IT_number 71
_space_group_name_Hall '-I 2 2'
_cell_length_a 4.6054
_cell_length_b 6.5328
_cell_length_c 23.4760
_cell_angle_alpha 90.00
_cell_angle_beta 90.00
_cell_angle_gamma 90.00
loop_
_atom_site_label
_atom_site_type_symbol
_atom_site_fract_x
_atom_site_fract_y
_atom_site_fract_z
K1 K 0.0000 0.0000 0.0000
La1 La 0.0000 0.0000 0.2052
La2 La 0.0000 0.0000 0.3992
Te1 Te 0.0000 0.5000 0.0000
Te2 Te 0.0000 0.5000 0.1978
Te3 Te 0.0000 0.5000 0.3926
```

Peak list (10 most intense, 10° ≤ 2θ ≤ 80°, by angle)
- hkl 1 0 5, 27.12°, I 100
- hkl 0 2 0, 27.30°, I 50
- hkl 0 0 10, 38.34°, I 19
- hkl 1 2 5, 38.86°, I 77
- hkl 2 0 0, 39.12°, I 19
- hkl 0 2 10, 47.71°, I 20
- hkl 2 2 0, 48.36°, I 21
- hkl 2 2 10, 63.34°, I 17
- hkl 1 4 5, 63.61°, I 18
- hkl 2 4 0, 70.72°, I 19